For Ac4OsI2, a GGA-PBE-relaxed structure gives the calculated powder X-ray diffraction pattern in this record (Cu Kα (weighted mean of Kα1 and Kα2)).
No peak broadening, texture or thermal motion is included.

Atomic structure:
a = 7.587 Å, b = 4.334 Å, c = 9.242 Å
α = 90.00°, β = 105.96°, γ = 90.00°
Space group P2/m (No. 10)
Symmetry-distinct sites (fractional):
Ac1 0.115 0.000 0.331 [2 per cell]
Ac2 0.374 0.500 0.703 [2 per cell]
Os1 0.000 0.500 0.500 [1 per cell]
I1 0.257 0.000 0.993 [2 per cell]

Main lines, by angle (10 to 80 degrees two-theta):
2θ/deg  Rel. int.  h k l
13.42  28  1 0 -1
24.58  29  1 1 -1
27.22  39  1 1 1
28.90  70  2 0 1
29.03  100  1 1 -2
30.17  28  0 0 3
41.34  47  3 1 -1
41.53  33  1 1 3
41.68  33  0 2 0
51.52  29  2 2 1



For Tl4SnTe5, a GGA-PBE-relaxed structure gives the calculated powder X-ray diffraction pattern in this record (Cu Kα (weighted mean of Kα1 and Kα2)).
No peak broadening, texture or thermal motion is included.

Atomic structure:
a = 11.205 Å, b = 11.205 Å, c = 5.913 Å
α = 90.00°, β = 90.00°, γ = 90.00°
Space group I4mm (No. 107)
Symmetry-distinct sites (fractional):
Tl1 0.000 0.309 0.000 [8 per cell]
Sn1 0.000 0.000 0.408 [2 per cell]
Te1 0.000 0.000 0.911 [2 per cell]
Te2 0.213 0.213 0.370 [8 per cell]

Main lines, by angle (10 to 80 degrees two-theta):
2θ/deg  Rel. int.  h k l
23.27  43  2 1 1
25.13  20  3 1 0
28.26  100  3 0 1
30.23  26  0 0 2
31.95  34  4 0 0
33.94  42  3 3 0
37.97  29  2 2 2
43.17  25  4 3 1
46.08  22  3 3 2
65.21  21  5 2 3